1.
Starting from a DFT-relaxed cell (PBE, Alexandria), the powder XRD pattern of PuGa7Cu12 was calculated for Cu Kα.
No peak broadening, texture or thermal motion is included.

The 8 most intense peaks (2θ = 10–90°), most intense first:
2.096 Å, 43.15 deg, I 100, (3 3 0)
2.539 Å, 35.36 deg, I 74, (1 2 2)
2.080 Å, 43.50 deg, I 67, (0 4 2)
2.509 Å, 35.79 deg, I 44, (4 0 1)
2.205 Å, 40.94 deg, I 44, (3 1 2)
2.736 Å, 32.73 deg, I 39, (1 3 1)
2.150 Å, 42.03 deg, I 36, (0 0 3)
1.501 Å, 61.82 deg, I 31, (3 3 3)

Crystal structure
Cell: 12.5779 12.5779 6.4488 Å, 90.00 90.00 120.00°
Space group R-3m (No. 166, hexagonal axes)
Asymmetric unit:
Pu1 0.0000 0.0000 0.0000 x3
Ga1 0.0000 0.0000 0.5000 x3
Ga2 0.1038 0.5519 0.3603 x18
Cu1 0.0000 0.2727 0.0000 x18
Cu2 0.1062 0.5531 0.9465 x18

2.
Starting from a DFT-relaxed cell (PBE, Alexandria), the powder XRD pattern of Pu3Ga4Cu2 was calculated for Cu Kα.
No peak broadening, texture or thermal motion is included.

The 8 most intense peaks (2θ = 10–90°), most intense first:
2.409 Å, 37.33 deg, I 100, (3 1 0)
2.322 Å, 38.77 deg, I 69, (0 2 0)
4.023 Å, 22.10 deg, I 51, (2 0 -2)
1.357 Å, 69.23 deg, I 28, (3 3 0)
1.672 Å, 54.90 deg, I 28, (0 2 3)
1.263 Å, 75.26 deg, I 13, (4 2 2)
1.341 Å, 70.19 deg, I 12, (3 3 -3)
2.011 Å, 45.08 deg, I 9, (4 0 -4)

Crystal structure
Cell: 10.0474 4.6483 8.5790 Å, 90.00 122.71 90.00°
Space group C2/m (No. 12)
Asymmetric unit:
Pu1 0.0000 0.0000 0.0000 x2
Pu2 0.1632 0.5000 0.6653 x4
Ga1 0.0575 0.0000 0.3842 x4
Ga2 0.2231 0.5000 0.0633 x4
Cu1 0.1142 0.5000 0.2811 x4

3.
Starting from a DFT-relaxed cell (PBE, Alexandria), the powder XRD pattern of Pu4Ga16Cu3 was calculated for Cu Kα.
No peak broadening, texture or thermal motion is included.

The 8 most intense peaks (2θ = 10–90°), most intense first:
2.370 Å, 37.96 deg, I 100, (2 0 3)
2.196 Å, 41.10 deg, I 67, (2 2 0)
2.705 Å, 33.12 deg, I 49, (2 0 2)
1.554 Å, 59.49 deg, I 48, (4 0 0)
2.816 Å, 31.78 deg, I 42, (1 1 3)
4.392 Å, 20.22 deg, I 37, (1 1 0)
1.299 Å, 72.81 deg, I 26, (4 2 3)
2.201 Å, 41.00 deg, I 21, (0 0 5)

Crystal structure
Cell: 6.2116 6.2116 11.0063 Å, 90.00 90.00 90.00°
Space group P4/mmm (No. 123)
Asymmetric unit:
Pu1 0.0000 0.5000 0.1900 x4
Ga1 0.0000 0.0000 0.2015 x2
Ga2 0.2152 0.2152 0.0000 x4
Ga3 0.2446 0.2446 0.3775 x8
Ga4 0.5000 0.5000 0.2291 x2
Cu1 0.0000 0.5000 0.5000 x2
Cu2 0.5000 0.5000 0.0000 x1